(1)
This entry pairs a crystal structure of PmGeHO4 with its calculated XRD peak list. Radiation: Cu Kα (weighted mean of Kα1 and Kα2). Structure: the PBE geometry in OQMD.
Peak positions follow from Bragg's law for the DFT cell and can differ from measured ones.

Largest 10 diffraction maxima, sorted by position, 2θ from 10° to 90°:
2θ (°)	I/Imax
24.24	98
24.81	100
30.46	33
30.89	52
33.41	26
34.95	45
36.08	29
36.46	19
44.60	22
49.10	19

Cell and atoms:
a = 7.8090 Å, b = 6.5112 Å, c = 7.3704 Å
α = 90.00°, β = 113.21°, γ = 90.00°
Sites, in units of the cell vectors:
Pm: 0.2462 0.1270 0.1013
Pm: 0.2462 0.3730 0.6013
Pm: 0.7538 0.6270 0.3987
Pm: 0.7538 0.8730 0.8987
Ge: 0.2426 0.6282 0.1426
Ge: 0.2426 0.8718 0.6426
Ge: 0.7574 0.1282 0.3574
Ge: 0.7574 0.3718 0.8574
H: 0.3681 0.5873 0.9085
H: 0.3681 0.9127 0.4085
H: 0.6319 0.0873 0.5915
H: 0.6319 0.4127 0.0915
O: 0.0661 0.6929 0.5423
O: 0.0661 0.8071 0.0423
O: 0.2229 0.0783 0.7830
O: 0.2229 0.4217 0.2830
O: 0.2798 0.0073 0.4425
O: 0.2798 0.4927 0.9425
O: 0.4392 0.7143 0.7603
O: 0.4392 0.7857 0.2603
O: 0.5608 0.2143 0.7397
O: 0.5608 0.2857 0.2397
O: 0.7202 0.5073 0.0575
O: 0.7202 0.9927 0.5575
O: 0.7771 0.5783 0.7170
O: 0.7771 0.9217 0.2170
O: 0.9339 0.1929 0.9577
O: 0.9339 0.3071 0.4577

(2)
This entry pairs a crystal structure of RbNbF3 with its calculated XRD peak list. Radiation: Cu Kα (weighted mean of Kα1 and Kα2). Structure: the PBE geometry in OQMD.
Peak positions follow from Bragg's law for the DFT cell and can differ from measured ones.

Largest 10 diffraction maxima, sorted by position, 2θ from 10° to 90°:
2θ (°)	I/Imax
20.36	4
28.95	100
35.65	4
41.40	41
51.30	40
59.98	25
67.95	18
75.50	8
82.79	21
89.97	4

Cell and atoms:
a = 4.3624 Å, b = 4.3624 Å, c = 4.3617 Å
α = 90.00°, β = 90.00°, γ = 90.00°
Sites, in units of the cell vectors:
Rb: 0.0000 0.0000 0.0000
Nb: 0.5000 0.5000 0.5011
F: 0.0000 0.5000 0.5110
F: 0.5000 0.0000 0.5110
F: 0.5000 0.5000 0.0006

(3)
This entry pairs a crystal structure of Tb2AgO4 with its calculated XRD peak list. Radiation: Cu Kα (weighted mean of Kα1 and Kα2). Structure: the PBE geometry in OQMD.
Peak positions follow from Bragg's law for the DFT cell and can differ from measured ones.

Largest 10 diffraction maxima, sorted by position, 2θ from 10° to 90°:
2θ (°)	I/Imax
15.97	22
26.22	18
30.85	100
32.26	34
37.42	19
49.25	39
53.96	43
63.45	13
64.28	17
76.05	21

Cell and atoms:
a = 6.7974 Å, b = 6.7974 Å, c = 6.7974 Å
α = 60.00°, β = 60.00°, γ = 60.00°
Sites, in units of the cell vectors:
Tb: 0.0000 0.0000 0.0000
Tb: 0.0000 0.0000 0.5000
Tb: 0.0000 0.5000 0.0000
Tb: 0.5000 0.0000 0.0000
Ag: 0.3750 0.3750 0.3750
Ag: 0.6250 0.6250 0.6250
O: 0.2096 0.7635 0.7635
O: 0.2365 0.2365 0.2365
O: 0.2365 0.2365 0.7904
O: 0.2365 0.7904 0.2365
O: 0.7635 0.2096 0.7635
O: 0.7635 0.7635 0.2096
O: 0.7635 0.7635 0.7635
O: 0.7904 0.2365 0.2365

(4)
This entry pairs a crystal structure of NaNbPO4F with its calculated XRD peak list. Radiation: Cu Kα (weighted mean of Kα1 and Kα2). Structure: the PBE geometry in OQMD.
Peak positions follow from Bragg's law for the DFT cell and can differ from measured ones.

Largest 10 diffraction maxima, sorted by position, 2θ from 10° to 90°:
2θ (°)	I/Imax
14.55	36
20.25	51
21.32	61
26.47	100
29.27	85
31.18	74
34.06	40
34.23	36
43.23	38
54.46	37

Cell and atoms:
a = 5.5047 Å, b = 5.5047 Å, c = 6.3612 Å
α = 103.25°, β = 103.25°, γ = 75.43°
Sites, in units of the cell vectors:
Na: 0.2070 0.7930 0.0000
Na: 0.7930 0.2070 0.0000
Nb: 0.2175 0.2175 0.6422
Nb: 0.7825 0.7825 0.3578
P: 0.3467 0.3467 0.2301
P: 0.6533 0.6533 0.7699
O: 0.1227 0.4836 0.3505
O: 0.2373 0.2373 0.9892
O: 0.4778 0.4778 0.7723
O: 0.4836 0.1227 0.3505
O: 0.5164 0.8773 0.6495
O: 0.5222 0.5222 0.2277
O: 0.7627 0.7627 0.0108
O: 0.8773 0.5164 0.6495
F: 0.0206 0.0206 0.3186
F: 0.9794 0.9794 0.6814

(5)
This entry pairs a crystal structure of Hf4CoGe with its calculated XRD peak list. Radiation: Cu Kα (weighted mean of Kα1 and Kα2). Structure: the PBE geometry in OQMD.
Peak positions follow from Bragg's law for the DFT cell and can differ from measured ones.

Largest 10 diffraction maxima, sorted by position, 2θ from 10° to 90°:
2θ (°)	I/Imax
33.77	16
35.27	100
39.24	19
44.14	43
56.75	7
61.38	20
61.50	16
67.74	8
71.20	16
82.08	11

Cell and atoms:
a = 6.4833 Å, b = 6.4833 Å, c = 5.3090 Å
α = 90.00°, β = 90.00°, γ = 90.00°
Sites, in units of the cell vectors:
Hf: 0.1611 0.3389 0.2500
Hf: 0.1611 0.6611 0.7500
Hf: 0.3389 0.1611 0.7500
Hf: 0.3389 0.8389 0.2500
Hf: 0.6611 0.1611 0.2500
Hf: 0.6611 0.8389 0.7500
Hf: 0.8389 0.3389 0.7500
Hf: 0.8389 0.6611 0.2500
Co: 0.0000 0.0000 0.5000
Co: 0.5000 0.5000 0.0000
Ge: 0.0000 0.0000 0.0000
Ge: 0.5000 0.5000 0.5000

(6)
This entry pairs a crystal structure of HgF2 with its calculated XRD peak list. Radiation: Cu Kα (weighted mean of Kα1 and Kα2). Structure: the PBE geometry in OQMD.
Peak positions follow from Bragg's law for the DFT cell and can differ from measured ones.

Largest 10 diffraction maxima, sorted by position, 2θ from 10° to 90°:
2θ (°)	I/Imax
29.41	100
29.87	89
38.63	14
42.42	49
52.16	29
52.45	46
53.32	21
61.02	15
69.41	17
70.15	17

Cell and atoms:
a = 6.0743 Å, b = 6.0743 Å, c = 3.6357 Å
α = 90.00°, β = 90.00°, γ = 120.00°
Sites, in units of the cell vectors:
Hg: 0.0000 0.0000 0.0000
Hg: 0.3333 0.6667 0.2338
Hg: 0.6667 0.3333 0.5047
F: 0.0379 0.7493 0.5058
F: 0.2507 0.2885 0.5058
F: 0.4158 0.0514 0.0000
F: 0.6356 0.5842 0.0000
F: 0.7115 0.9621 0.5058
F: 0.9486 0.3644 0.0000

(7)
This entry pairs a crystal structure of BaAg2GeTe3S with its calculated XRD peak list. Radiation: Cu Kα (weighted mean of Kα1 and Kα2). Structure: the PBE geometry in OQMD.
Peak positions follow from Bragg's law for the DFT cell and can differ from measured ones.

Largest 10 diffraction maxima, sorted by position, 2θ from 10° to 90°:
2θ (°)	I/Imax
15.26	28
26.00	100
26.35	40
26.46	46
27.54	51
28.32	47
32.61	26
32.95	49
34.24	55
44.14	26

Cell and atoms:
a = 6.8406 Å, b = 6.8692 Å, c = 6.9992 Å
α = 112.14°, β = 115.64°, γ = 99.83°
Sites, in units of the cell vectors:
Ba: 0.0000 0.0000 0.0000
Ag: 0.1727 0.6975 0.4835
Ag: 0.8498 0.3663 0.5351
Ge: 0.4676 0.5227 0.0027
Te: 0.4592 0.4773 0.6077
Te: 0.5382 0.1685 0.0334
Te: 0.8480 0.8866 0.3955
S: 0.1357 0.5389 0.9903

(8)
This entry pairs a crystal structure of NdGd2Cd4Hg2 with its calculated XRD peak list. Radiation: Cu Kα (weighted mean of Kα1 and Kα2). Structure: the PBE geometry in OQMD.
Peak positions follow from Bragg's law for the DFT cell and can differ from measured ones.

Largest 10 diffraction maxima, sorted by position, 2θ from 10° to 90°:
2θ (°)	I/Imax
30.65	100
33.57	40
33.67	86
36.25	35
36.40	15
39.30	41
41.42	44
54.51	27
65.29	22
67.65	16

Cell and atoms:
a = 4.5855 Å, b = 7.5720 Å, c = 7.5720 Å
α = 120.29°, β = 90.00°, γ = 90.00°
Sites, in units of the cell vectors:
Nd: 0.0000 0.0000 0.0000
Gd: 0.0000 0.1500 0.5767
Gd: 0.0000 0.5767 0.1500
Cd: 0.0000 0.5699 0.5699
Cd: 0.5000 0.3335 0.3335
Cd: 0.5000 0.5751 0.8146
Cd: 0.5000 0.8146 0.5751
Hg: 0.5000 0.2456 0.9078
Hg: 0.5000 0.9078 0.2456

> What is the formula in the seventh record?

BaAg2GeTe3S